Theoretical powder X-ray diffraction pattern
Compound: K2HoTlF6
Radiation: copper Kα
Structure: a GGA-PBE-relaxed structure
Intensities are scaled so that the largest is 100.

Structure:
a = 6.7783 Å, b = 6.7783 Å, c = 6.7783 Å
α = 57.91°, β = 57.91°, γ = 57.91°
Atoms (fractional coordinates):
K  0.0000  0.0000  0.0000
K  0.4908  0.4908  0.4908
Ho  0.7839  0.7839  0.7839
Tl  0.2707  0.2707  0.2707
F  0.0236  0.4533  0.6819
F  0.1185  0.8804  0.6011
F  0.4533  0.6819  0.0236
F  0.6011  0.1185  0.8804
F  0.6819  0.0236  0.4533
F  0.8804  0.6011  0.1185

Peak list (10 most intense, 2θ = 15–90°, most intense first)
d (Å), 2θ/deg, intensity
4.713, 18.8, 100
3.386, 26.3, 77
3.282, 27.2, 69
2.134, 42.3, 39
2.356, 38.2, 36
1.914, 47.5, 35
1.895, 48.0, 23
2.082, 43.5, 21
2.693, 33.3, 16
1.477, 62.9, 13